The following is a calculated PXRD pattern of ZnW2Br. It was derived from a DFT-relaxed cell (GGA-PBE, Alexandria), using Cu Kα X-rays.
Kinematic intensities with the Lorentz-polarization factor, no thermal factor.

Structure:
Cell lengths 6.6522, 6.6522, 6.6522 Å; angles 152.39, 141.53, 48.00 degrees
Atoms (fractional coordinates):
Zn (0.0000, 0.0000, 0.0000)
W (0.4674, 0.4674, 0.0000)
W (0.6195, 0.1195, 0.5000)
Br (0.2650, 0.7650, 0.5000)

Top 10 peaks for 2θ from 15° to 90°, low angle first:
d (Å)	Rel. int.
4.123	85
2.499	58
2.368	100
2.191	35
2.126	29
2.026	16
1.963	48
1.648	33
1.587	13
1.297	15

The following is a calculated PXRD pattern of KAg2Sn4. It was derived from a DFT-relaxed cell (GGA-PBE, Alexandria), using Cu Kα X-rays.
Kinematic intensities with the Lorentz-polarization factor, no thermal factor.

Structure:
Cell lengths 19.4561, 4.9677, 7.6070 Å; angles 90.00, 90.00, 90.00 degrees
Atoms (fractional coordinates):
K (0.1434, 0.2500, 0.0301)
K (0.3566, 0.7500, 0.5301)
K (0.6434, 0.2500, 0.4699)
K (0.8566, 0.7500, 0.9699)
Ag (0.0374, 0.7500, 0.2465)
Ag (0.2158, 0.2500, 0.5458)
Ag (0.2842, 0.7500, 0.0458)
Ag (0.4626, 0.2500, 0.7465)
Ag (0.5374, 0.7500, 0.2535)
Ag (0.7158, 0.2500, 0.9542)
Ag (0.7842, 0.7500, 0.4542)
Ag (0.9626, 0.2500, 0.7535)
Sn (0.0334, 0.7500, 0.8578)
Sn (0.0653, 0.2500, 0.4799)
Sn (0.1828, 0.7500, 0.3412)
Sn (0.1893, 0.7500, 0.7411)
Sn (0.3107, 0.2500, 0.2411)
Sn (0.3172, 0.2500, 0.8412)
Sn (0.4347, 0.7500, 0.9799)
Sn (0.4666, 0.2500, 0.3578)
Sn (0.5334, 0.7500, 0.6422)
Sn (0.5653, 0.2500, 0.0201)
Sn (0.6828, 0.7500, 0.1588)
Sn (0.6893, 0.7500, 0.7589)
Sn (0.8107, 0.2500, 0.2589)
Sn (0.8172, 0.2500, 0.6588)
Sn (0.9347, 0.7500, 0.5201)
Sn (0.9666, 0.2500, 0.1422)

Top 10 peaks for 2θ from 15° to 90°, low angle first:
d (Å)	Rel. int.
2.884	100
2.842	74
2.611	26
2.484	79
2.245	32
2.210	67
2.200	48
2.184	22
1.542	27
1.253	26

The following is a calculated PXRD pattern of Sm12Er2Sc5. It was derived from a DFT-relaxed cell (GGA-PBE, Alexandria), using Cu Kα X-rays.
Kinematic intensities with the Lorentz-polarization factor, no thermal factor.

Structure:
Cell lengths 9.0684, 9.0684, 10.8962 Å; angles 104.29, 104.29, 44.84 degrees
Atoms (fractional coordinates):
Sm (0.0434, 0.5565, 0.8894)
Sm (0.0704, 0.5523, 0.4046)
Sm (0.0839, 0.0839, 0.3191)
Sm (0.3973, 0.3973, 0.1846)
Sm (0.4435, 0.9566, 0.1106)
Sm (0.4477, 0.9296, 0.5954)
Sm (0.5523, 0.0704, 0.4046)
Sm (0.5565, 0.0434, 0.8894)
Sm (0.6027, 0.6027, 0.8154)
Sm (0.9161, 0.9161, 0.6809)
Sm (0.9296, 0.4477, 0.5954)
Sm (0.9566, 0.4435, 0.1106)
Er (0.2405, 0.7595, 0.0000)
Er (0.7595, 0.2405, 0.0000)
Sc (0.1203, 0.1203, 0.8294)
Sc (0.3859, 0.3859, 0.7000)
Sc (0.5000, 0.5000, 0.5000)
Sc (0.6141, 0.6141, 0.3000)
Sc (0.8797, 0.8797, 0.1706)

Top 10 peaks for 2θ from 15° to 90°, low angle first:
d (Å)	Rel. int.
3.180	22
2.888	28
2.855	100
2.719	46
2.708	44
2.627	23
2.601	18
2.124	22
1.479	14
1.458	26

The following is a calculated PXRD pattern of Al17Si4Pd8. It was derived from a DFT-relaxed cell (GGA-PBE, Alexandria), using Cu Kα X-rays.
Kinematic intensities with the Lorentz-polarization factor, no thermal factor.

Structure:
Cell lengths 10.6427, 10.6427, 10.6427 Å; angles 104.95, 104.95, 118.95 degrees
Atoms (fractional coordinates):
Al (0.0115, 0.9273, 0.5876)
Al (0.0762, 0.4885, 0.4158)
Al (0.0785, 0.8051, 0.0807)
Al (0.1378, 0.8768, 0.8189)
Al (0.1603, 0.5762, 0.0876)
Al (0.1759, 0.1345, 0.0212)
Al (0.1811, 0.3622, 0.2391)
Al (0.2243, 0.9977, 0.4193)
Al (0.3051, 0.7243, 0.7266)
Al (0.3452, 0.3241, 0.4585)
Al (0.3655, 0.8867, 0.0415)
Al (0.3750, 0.1250, 0.2500)
Al (0.3768, 0.0579, 0.7391)
Al (0.3867, 0.8452, 0.5212)
Al (0.4273, 0.3397, 0.9158)
Al (0.4421, 0.6811, 0.3189)
Al (0.4977, 0.5785, 0.7734)
Al (0.5023, 0.4215, 0.2266)
Al (0.5579, 0.3189, 0.6811)
Al (0.5727, 0.6603, 0.0842)
Al (0.6133, 0.1548, 0.4788)
Al (0.6232, 0.9421, 0.2609)
Al (0.6250, 0.8750, 0.7500)
Al (0.6345, 0.1133, 0.9585)
Al (0.6548, 0.6759, 0.5415)
Al (0.6949, 0.2757, 0.2734)
Al (0.7757, 0.0023, 0.5807)
Al (0.8189, 0.6378, 0.7609)
Al (0.8241, 0.8655, 0.9788)
Al (0.8397, 0.4238, 0.9124)
Al (0.8622, 0.1232, 0.1811)
Al (0.9215, 0.1949, 0.9193)
Al (0.9238, 0.5115, 0.5842)
Al (0.9885, 0.0727, 0.4124)
Si (0.0682, 0.6855, 0.2840)
Si (0.0985, 0.2158, 0.7840)
Si (0.1855, 0.4015, 0.6173)
Si (0.2842, 0.5682, 0.8827)
Si (0.7158, 0.4318, 0.1173)
Si (0.8145, 0.5985, 0.3827)
Si (0.9015, 0.7842, 0.2160)
Si (0.9318, 0.3145, 0.7160)
Pd (0.0699, 0.6258, 0.8624)
Pd (0.0903, 0.0680, 0.2138)
Pd (0.1258, 0.7634, 0.5559)
Pd (0.2634, 0.2075, 0.6376)
Pd (0.2925, 0.4301, 0.0559)
Pd (0.3543, 0.8765, 0.2862)
Pd (0.3765, 0.5903, 0.5222)
Pd (0.4320, 0.1457, 0.0222)
Pd (0.5680, 0.8543, 0.9778)
Pd (0.6235, 0.4097, 0.4778)
Pd (0.6457, 0.1235, 0.7138)
Pd (0.7075, 0.5699, 0.9441)
Pd (0.7366, 0.7925, 0.3624)
Pd (0.8742, 0.2366, 0.4441)
Pd (0.9097, 0.9320, 0.7862)
Pd (0.9301, 0.3742, 0.1376)

Top 10 peaks for 2θ from 15° to 90°, low angle first:
d (Å)	Rel. int.
3.496	63
3.472	39
3.412	100
3.267	38
3.019	22
2.301	33
2.105	45
2.050	19
2.025	69
1.990	53

The following is a calculated PXRD pattern of LiCu2. It was derived from a DFT-relaxed cell (GGA-PBE, Alexandria), using Cu Kα X-rays.
Kinematic intensities with the Lorentz-polarization factor, no thermal factor.

Structure:
Cell lengths 4.4685, 4.4685, 4.4685 Å; angles 147.06, 129.84, 61.32 degrees
Atoms (fractional coordinates):
Li (0.0000, 0.0000, 0.0000)
Cu (0.3287, 0.3287, 0.0000)
Cu (0.6713, 0.6713, 0.0000)

Top 10 peaks for 2θ from 15° to 90°, low angle first:
d (Å)	Rel. int.
3.844	63
3.398	67
2.406	26
2.123	100
2.106	98
1.894	35
1.847	31
1.802	58
1.305	37
1.095	20

The following is a calculated PXRD pattern of CoSb4Cl. It was derived from a DFT-relaxed cell (GGA-PBE, Alexandria), using Cu Kα X-rays.
Kinematic intensities with the Lorentz-polarization factor, no thermal factor.

Structure:
Cell lengths 6.1988, 6.1988, 6.1988 Å; angles 60.00, 60.00, 60.00 degrees
Atoms (fractional coordinates):
Co (0.0000, 0.0000, 0.0000)
Sb (0.1450, 0.6183, 0.6183)
Sb (0.6183, 0.1450, 0.6183)
Sb (0.6183, 0.6183, 0.1450)
Sb (0.6183, 0.6183, 0.6183)
Cl (0.2500, 0.2500, 0.2500)

Top 10 peaks for 2θ from 15° to 90°, low angle first:
d (Å)	Rel. int.
5.061	53
2.643	100
2.531	72
2.192	22
2.011	16
1.687	37
1.550	32
1.337	10
1.322	26
1.141	21